# 1
# Rb3Cd2CuBr9
Computed X-ray diffraction stick pattern, a wavelength of 1.5418 Å. Input: DFT lattice parameters and positions (PBE).
Peak positions follow from Bragg's law for the DFT cell and can differ from measured ones.

Structure:
Cell lengths 7.7051, 7.7051, 9.4864 Å; angles 90.00, 90.00, 120.00 degrees
Atoms (fractional coordinates):
1 Rb 0.0000 0.0000 0.0000
2 Rb 0.3333 0.6667 0.6651
3 Rb 0.6667 0.3333 0.3349
4 Cd 0.3333 0.6667 0.1770
5 Cd 0.6667 0.3333 0.8230
6 Cu 0.0000 0.0000 0.5000
7 Br 0.0000 0.5000 0.0000
8 Br 0.1608 0.3216 0.3420
9 Br 0.1608 0.8392 0.3420
10 Br 0.3216 0.1608 0.6580
11 Br 0.5000 0.0000 0.0000
12 Br 0.5000 0.5000 0.0000
13 Br 0.6784 0.8392 0.3420
14 Br 0.8392 0.1608 0.6580
15 Br 0.8392 0.6784 0.6580

Main lines, in order of rising 2θ (15° ≤ 2θ ≤ 90°):
| d_spacing | I_rel |
| --- | --- |
| 5.458 | 28 |
| 3.859 | 29 |
| 3.162 | 15 |
| 3.147 | 44 |
| 2.729 | 100 |
| 1.933 | 35 |
| 1.926 | 35 |
| 1.644 | 18 |
| 1.574 | 18 |
| 1.222 | 14 |
| 1.219 | 15 |
| 1.113 | 11 |

# 2
# Th7Tl2Ni2
Computed X-ray diffraction stick pattern, a wavelength of 1.5418 Å. Input: DFT lattice parameters and positions (PBE).
Peak positions follow from Bragg's law for the DFT cell and can differ from measured ones.

Structure:
Cell lengths 9.9751, 9.9751, 9.9751 Å; angles 158.85, 65.91, 118.39 degrees
Atoms (fractional coordinates):
1 Th 0.0000 0.0000 0.0000
2 Th 0.0324 0.3564 0.6759
3 Th 0.0702 0.7297 0.3405
4 Th 0.3891 0.7297 0.6595
5 Th 0.4126 0.5534 0.8592
6 Th 0.6805 0.3564 0.3241
7 Th 0.6941 0.5534 0.1408
8 Tl 0.3257 0.3257 0.0000
9 Tl 0.7138 0.2138 0.5000
10 Ni 0.2799 0.0491 0.2308
11 Ni 0.8182 0.0491 0.7692

Main lines, in order of rising 2θ (15° ≤ 2θ ≤ 90°):
| d_spacing | I_rel |
| --- | --- |
| 3.185 | 32 |
| 3.061 | 19 |
| 2.930 | 49 |
| 2.907 | 100 |
| 2.790 | 44 |
| 2.661 | 68 |
| 2.626 | 59 |
| 1.864 | 17 |
| 1.831 | 22 |
| 1.576 | 16 |
| 1.549 | 32 |
| 1.531 | 15 |

# 3
# BaZn4Si
Computed X-ray diffraction stick pattern, a wavelength of 1.5418 Å. Input: DFT lattice parameters and positions (PBE).
Peak positions follow from Bragg's law for the DFT cell and can differ from measured ones.

Structure:
Cell lengths 5.6399, 5.6399, 5.6399 Å; angles 60.00, 60.00, 60.00 degrees
Atoms (fractional coordinates):
1 Ba 0.0000 0.0000 0.0000
2 Zn 0.3772 0.3772 0.3772
3 Zn 0.3772 0.3772 0.8685
4 Zn 0.3772 0.8685 0.3772
5 Zn 0.8685 0.3772 0.3772
6 Si 0.7500 0.7500 0.7500

Main lines, in order of rising 2θ (15° ≤ 2θ ≤ 90°):
| d_spacing | I_rel |
| --- | --- |
| 4.605 | 13 |
| 3.988 | 16 |
| 2.820 | 29 |
| 2.405 | 100 |
| 2.302 | 38 |
| 1.830 | 5 |
| 1.783 | 5 |
| 1.628 | 11 |
| 1.535 | 32 |
| 1.410 | 25 |
| 1.216 | 11 |
| 1.202 | 13 |

# 4
# Na4Tl3HgO8
Computed X-ray diffraction stick pattern, a wavelength of 1.5418 Å. Input: DFT lattice parameters and positions (PBE).
Peak positions follow from Bragg's law for the DFT cell and can differ from measured ones.

Structure:
Cell lengths 6.8732, 6.8732, 6.7573 Å; angles 118.97, 118.97, 58.60 degrees
Atoms (fractional coordinates):
1 Na 0.0000 0.0000 0.0000
2 Na 0.0000 0.5000 0.5000
3 Na 0.5000 0.0000 0.5000
4 Na 0.5000 0.5000 0.0000
5 Tl 0.0000 0.0000 0.5000
6 Tl 0.0000 0.5000 0.0000
7 Tl 0.5000 0.0000 0.0000
8 Hg 0.5000 0.5000 0.5000
9 O 0.2363 0.2363 0.2090
10 O 0.2363 0.2363 0.7471
11 O 0.2533 0.7345 0.2654
12 O 0.2655 0.7467 0.7346
13 O 0.7345 0.2533 0.2654
14 O 0.7467 0.2655 0.7346
15 O 0.7637 0.7637 0.2529
16 O 0.7637 0.7637 0.7910

Main lines, in order of rising 2θ (15° ≤ 2θ ≤ 90°):
| d_spacing | I_rel |
| --- | --- |
| 5.567 | 100 |
| 2.994 | 22 |
| 2.886 | 37 |
| 2.810 | 22 |
| 2.787 | 64 |
| 2.492 | 28 |
| 2.384 | 50 |
| 2.226 | 18 |
| 1.837 | 12 |
| 1.729 | 18 |
| 1.717 | 18 |
| 1.442 | 13 |

# 5
# LiCu2O2
Computed X-ray diffraction stick pattern, a wavelength of 1.5418 Å. Input: DFT lattice parameters and positions (PBE).
Peak positions follow from Bragg's law for the DFT cell and can differ from measured ones.

Structure:
Cell lengths 3.0491, 3.0491, 18.4641 Å; angles 90.00, 90.00, 120.00 degrees
Atoms (fractional coordinates):
1 Li 0.0000 0.0000 0.0000
2 Li 0.3333 0.6667 0.6667
3 Li 0.6667 0.3333 0.3333
4 Cu 0.0000 0.0000 0.2150
5 Cu 0.0000 0.0000 0.7850
6 Cu 0.3333 0.6667 0.4517
7 Cu 0.3333 0.6667 0.8817
8 Cu 0.6667 0.3333 0.1183
9 Cu 0.6667 0.3333 0.5483
10 O 0.0000 0.0000 0.4033
11 O 0.0000 0.0000 0.5967
12 O 0.3333 0.6667 0.0699
13 O 0.3333 0.6667 0.2634
14 O 0.6667 0.3333 0.7366
15 O 0.6667 0.3333 0.9301

Main lines, in order of rising 2θ (15° ≤ 2θ ≤ 90°):
| d_spacing | I_rel |
| --- | --- |
| 3.077 | 13 |
| 2.539 | 76 |
| 2.292 | 23 |
| 2.148 | 100 |
| 2.052 | 14 |
| 1.866 | 36 |
| 1.525 | 36 |
| 1.513 | 15 |
| 1.480 | 12 |
| 1.243 | 14 |
| 1.224 | 15 |
| 1.180 | 15 |

# 6
# Ba4CaCl
Computed X-ray diffraction stick pattern, a wavelength of 1.5418 Å. Input: DFT lattice parameters and positions (PBE).
Peak positions follow from Bragg's law for the DFT cell and can differ from measured ones.

Structure:
Cell lengths 7.9294, 7.9294, 7.9294 Å; angles 60.00, 60.00, 60.00 degrees
Atoms (fractional coordinates):
1 Ba 0.1243 0.1243 0.1243
2 Ba 0.1243 0.1243 0.6270
3 Ba 0.1243 0.6270 0.1243
4 Ba 0.6270 0.1243 0.1243
5 Ca 0.7500 0.7500 0.7500
6 Cl 0.5000 0.5000 0.5000

Main lines, in order of rising 2θ (15° ≤ 2θ ≤ 90°):
| d_spacing | I_rel |
| --- | --- |
| 3.381 | 100 |
| 3.237 | 80 |
| 2.803 | 30 |
| 2.573 | 20 |
| 2.158 | 37 |
| 1.982 | 39 |
| 1.895 | 17 |
| 1.710 | 13 |
| 1.691 | 36 |
| 1.460 | 24 |
| 1.286 | 15 |
| 1.145 | 13 |

# 7
# Sr2ThBe2N4
Computed X-ray diffraction stick pattern, a wavelength of 1.5418 Å. Input: DFT lattice parameters and positions (PBE).
Peak positions follow from Bragg's law for the DFT cell and can differ from measured ones.

Structure:
Cell lengths 6.5662, 6.5662, 6.6902 Å; angles 115.25, 115.25, 30.21 degrees
Atoms (fractional coordinates):
1 Sr 0.1359 0.1359 0.0950
2 Sr 0.8641 0.8641 0.9050
3 Th 0.0000 0.0000 0.5000
4 Be 0.3224 0.3224 0.5393
5 Be 0.6776 0.6776 0.4607
6 N 0.2128 0.2128 0.6268
7 N 0.4708 0.4708 0.7311
8 N 0.5292 0.5292 0.2689
9 N 0.7872 0.7872 0.3732

Main lines, in order of rising 2θ (15° ≤ 2θ ≤ 90°):
| d_spacing | I_rel |
| --- | --- |
| 5.687 | 67 |
| 3.438 | 60 |
| 3.330 | 66 |
| 3.277 | 100 |
| 3.168 | 65 |
| 3.001 | 30 |
| 2.636 | 48 |
| 2.368 | 84 |
| 2.304 | 30 |
| 2.218 | 26 |
| 2.124 | 50 |
| 2.034 | 45 |

# 8
# YFe22B6
Computed X-ray diffraction stick pattern, a wavelength of 1.5418 Å. Input: DFT lattice parameters and positions (PBE).
Peak positions follow from Bragg's law for the DFT cell and can differ from measured ones.

Structure:
Cell lengths 7.5690, 7.5690, 7.5690 Å; angles 60.00, 60.00, 60.00 degrees
Atoms (fractional coordinates):
1 Y 0.0000 0.0000 0.0000
2 Fe 0.0000 0.0000 0.3516
3 Fe 0.0000 0.0000 0.6484
4 Fe 0.0000 0.3516 0.0000
5 Fe 0.0000 0.3516 0.6484
6 Fe 0.0000 0.6484 0.0000
7 Fe 0.0000 0.6484 0.3516
8 Fe 0.1459 0.6180 0.6180
9 Fe 0.2500 0.2500 0.2500
10 Fe 0.3516 0.0000 0.0000
11 Fe 0.3516 0.0000 0.6484
12 Fe 0.3516 0.6484 0.0000
13 Fe 0.3820 0.3820 0.3820
14 Fe 0.3820 0.3820 0.8541
15 Fe 0.3820 0.8541 0.3820
16 Fe 0.6180 0.1459 0.6180
17 Fe 0.6180 0.6180 0.1459
18 Fe 0.6180 0.6180 0.6180
19 Fe 0.6484 0.0000 0.0000
20 Fe 0.6484 0.0000 0.3516
21 Fe 0.6484 0.3516 0.0000
22 Fe 0.7500 0.7500 0.7500
23 Fe 0.8541 0.3820 0.3820
24 B 0.2728 0.2728 0.7272
25 B 0.2728 0.7272 0.2728
26 B 0.2728 0.7272 0.7272
27 B 0.7272 0.2728 0.2728
28 B 0.7272 0.2728 0.7272
29 B 0.7272 0.7272 0.2728

Main lines, in order of rising 2θ (15° ≤ 2θ ≤ 90°):
| d_spacing | I_rel |
| --- | --- |
| 3.227 | 5 |
| 3.090 | 6 |
| 2.394 | 15 |
| 2.185 | 29 |
| 2.060 | 100 |
| 1.892 | 25 |
| 1.809 | 21 |
| 1.784 | 11 |
| 1.614 | 5 |
| 1.262 | 22 |
| 1.236 | 13 |
| 1.092 | 14 |

# 9
# CeTe2P2Pd7
Computed X-ray diffraction stick pattern, a wavelength of 1.5418 Å. Input: DFT lattice parameters and positions (PBE).
Peak positions follow from Bragg's law for the DFT cell and can differ from measured ones.

Structure:
Cell lengths 4.5430, 4.5430, 11.5175 Å; angles 92.35, 92.35, 98.47 degrees
Atoms (fractional coordinates):
1 Ce 0.0000 0.0000 0.0000
2 Te 0.1693 0.1693 0.3869
3 Te 0.8307 0.8307 0.6131
4 P 0.3082 0.3082 0.8169
5 P 0.6918 0.6918 0.1831
6 Pd 0.1679 0.5718 0.2185
7 Pd 0.3411 0.3411 0.6080
8 Pd 0.4282 0.8321 0.7815
9 Pd 0.5000 0.5000 0.0000
10 Pd 0.5718 0.1679 0.2185
11 Pd 0.6589 0.6589 0.3920
12 Pd 0.8321 0.4282 0.7815

Main lines, in order of rising 2θ (15° ≤ 2θ ≤ 90°):
| d_spacing | I_rel |
| --- | --- |
| 3.441 | 27 |
| 2.952 | 78 |
| 2.824 | 24 |
| 2.563 | 97 |
| 2.417 | 47 |
| 2.299 | 61 |
| 2.223 | 100 |
| 2.206 | 17 |
| 1.729 | 34 |
| 1.720 | 17 |
| 1.493 | 27 |
| 1.481 | 16 |

# 10
# Dy3Pd5Au
Computed X-ray diffraction stick pattern, a wavelength of 1.5418 Å. Input: DFT lattice parameters and positions (PBE).
Peak positions follow from Bragg's law for the DFT cell and can differ from measured ones.

Structure:
Cell lengths 8.0591, 8.0591, 8.0591 Å; angles 117.85, 117.85, 93.76 degrees
Atoms (fractional coordinates):
1 Dy 0.1268 0.6268 0.7536
2 Dy 0.2500 0.2500 0.0000
3 Dy 0.3732 0.1268 0.5000
4 Dy 0.6268 0.8732 0.5000
5 Dy 0.7500 0.7500 0.0000
6 Dy 0.8732 0.3732 0.2464
7 Pd 0.0000 0.0000 0.0000
8 Pd 0.0615 0.1679 0.5000
9 Pd 0.1679 0.6679 0.1064
10 Pd 0.3321 0.4385 0.5000
11 Pd 0.4385 0.9385 0.1064
12 Pd 0.5000 0.5000 0.0000
13 Pd 0.5615 0.0615 0.8936
14 Pd 0.6679 0.5615 0.5000
15 Pd 0.8321 0.3321 0.8936
16 Pd 0.9385 0.8321 0.5000
17 Au 0.2500 0.7500 0.5000
18 Au 0.7500 0.2500 0.5000

Main lines, in order of rising 2θ (15° ≤ 2θ ≤ 90°):
| d_spacing | I_rel |
| --- | --- |
| 3.320 | 19 |
| 2.941 | 86 |
| 2.631 | 30 |
| 2.614 | 90 |
| 2.595 | 18 |
| 2.374 | 31 |
| 2.297 | 100 |
| 2.258 | 30 |
| 1.946 | 34 |
| 1.896 | 21 |
| 1.542 | 28 |
| 1.377 | 20 |

# 11
# ZrTa4Ru5
Computed X-ray diffraction stick pattern, a wavelength of 1.5418 Å. Input: DFT lattice parameters and positions (PBE).
Peak positions follow from Bragg's law for the DFT cell and can differ from measured ones.

Structure:
Cell lengths 3.2370, 3.2370, 15.5929 Å; angles 90.00, 90.00, 90.00 degrees
Atoms (fractional coordinates):
1 Zr 0.0000 0.0000 0.0000
2 Ta 0.0000 0.0000 0.2046
3 Ta 0.0000 0.0000 0.4019
4 Ta 0.0000 0.0000 0.5981
5 Ta 0.0000 0.0000 0.7954
6 Ru 0.5000 0.5000 0.1088
7 Ru 0.5000 0.5000 0.3049
8 Ru 0.5000 0.5000 0.5000
9 Ru 0.5000 0.5000 0.6951
10 Ru 0.5000 0.5000 0.8912

Main lines, in order of rising 2θ (15° ≤ 2θ ≤ 90°):
| d_spacing | I_rel |
| --- | --- |
| 3.237 | 6 |
| 3.119 | 3 |
| 2.289 | 54 |
| 2.246 | 100 |
| 2.027 | 3 |
| 1.845 | 3 |
| 1.619 | 18 |
| 1.559 | 7 |
| 1.313 | 36 |
| 1.289 | 16 |
| 1.144 | 6 |
| 1.123 | 10 |

# 12
# La2Pr3Tm
Computed X-ray diffraction stick pattern, a wavelength of 1.5418 Å. Input: DFT lattice parameters and positions (PBE).
Peak positions follow from Bragg's law for the DFT cell and can differ from measured ones.

Structure:
Cell lengths 6.4201, 6.4201, 11.9283 Å; angles 90.00, 90.00, 120.00 degrees
Atoms (fractional coordinates):
1 La 0.3333 0.6667 0.0000
2 La 0.3333 0.6667 0.5000
3 La 0.6667 0.3333 0.0000
4 La 0.6667 0.3333 0.5000
5 Pr 0.0000 0.3258 0.2500
6 Pr 0.0000 0.6742 0.7500
7 Pr 0.3258 0.0000 0.2500
8 Pr 0.3258 0.3258 0.7500
9 Pr 0.6742 0.0000 0.7500
10 Pr 0.6742 0.6742 0.2500
11 Tm 0.0000 0.0000 0.0000
12 Tm 0.0000 0.0000 0.5000

Main lines, in order of rising 2θ (15° ≤ 2θ ≤ 90°):
| d_spacing | I_rel |
| --- | --- |
| 3.210 | 9 |
| 3.100 | 41 |
| 2.982 | 34 |
| 2.827 | 100 |
| 2.498 | 22 |
| 1.915 | 10 |
| 1.853 | 26 |
| 1.690 | 22 |
| 1.574 | 30 |
| 1.550 | 16 |
| 1.189 | 14 |
| 1.162 | 11 |

# 13
# Cd5GaSn
Computed X-ray diffraction stick pattern, a wavelength of 1.5418 Å. Input: DFT lattice parameters and positions (PBE).
Peak positions follow from Bragg's law for the DFT cell and can differ from measured ones.

Structure:
Cell lengths 7.6778, 7.6778, 7.6778 Å; angles 116.00, 105.23, 107.39 degrees
Atoms (fractional coordinates):
1 Cd 0.0000 0.2581 0.2581
2 Cd 0.0000 0.7419 0.7419
3 Cd 0.2637 0.5137 0.7500
4 Cd 0.2878 0.2392 0.0485
5 Cd 0.3093 0.7608 0.5485
6 Cd 0.5000 0.2581 0.7581
7 Cd 0.5000 0.7419 0.2419
8 Cd 0.6907 0.2392 0.4515
9 Cd 0.7122 0.7608 0.9515
10 Cd 0.7363 0.4863 0.2500
11 Ga 0.2430 0.9930 0.2500
12 Ga 0.7570 0.0070 0.7500
13 Sn 0.0000 0.0000 0.5000
14 Sn 0.0000 0.5000 0.0000

Main lines, in order of rising 2θ (15° ≤ 2θ ≤ 90°):
| d_spacing | I_rel |
| --- | --- |
| 3.450 | 17 |
| 2.941 | 13 |
| 2.541 | 100 |
| 2.331 | 14 |
| 2.273 | 21 |
| 2.034 | 14 |
| 1.627 | 9 |
| 1.533 | 7 |
| 1.516 | 10 |
| 1.358 | 13 |
| 1.271 | 8 |
| 1.252 | 10 |